Structure and theoretical powder X-ray diffraction pattern of Ce5In2Ru (a cell relaxed with GGA-PBE; CuKα).
Lines closer than 0.1° are merged.

Structure:
```
data_Ce5In2Ru
_space_group_name_H-M_alt 'P 1'
_space_group_IT_number 1
_space_group_name_Hall 'P 1'
_cell_length_a 6.1595
_cell_length_b 6.2629
_cell_length_c 7.1510
_cell_angle_alpha 69.49
_cell_angle_beta 64.61
_cell_angle_gamma 60.87
loop_
_atom_site_label
_atom_site_fract_x
_atom_site_fract_y
_atom_site_fract_z
_atom_site_occupancy
Ce1 0.0000 0.0000 0.0000 1
Ce2 0.1258 0.8264 0.6520 1
Ce3 0.2672 0.5424 0.1972 1
Ce4 0.4171 0.1708 0.7067 1
Ce5 0.8505 0.4294 0.2560 1
In1 0.4375 0.9783 0.1722 1
In2 0.7534 0.5221 0.7155 1
Ru1 0.6977 0.9810 0.4166 1
```

Principal peaks in the range 2θ from 15° to 90°, by intensity:
d (Å)  I/Imax  hkl
2.772  100  2 1 0
2.334  60  1 2 -1
2.916  59  1 -1 1
3.179  57  0 0 2
2.541  45  2 2 2
2.981  35  0 1 2
2.655  32  0 2 1
2.691  30  0 2 0

Structure and theoretical powder X-ray diffraction pattern of Ce3In2Ru2 (a cell relaxed with GGA-PBE; CuKα).
Lines closer than 0.1° are merged.

Structure:
```
data_Ce3In2Ru2
_space_group_name_H-M_alt 'P n m a'
_space_group_IT_number 62
_space_group_name_Hall '-P 2ac 2n'
_cell_length_a 17.4522
_cell_length_b 4.9472
_cell_length_c 7.6750
_cell_angle_alpha 90.00
_cell_angle_beta 90.00
_cell_angle_gamma 90.00
loop_
_atom_site_label
_atom_site_fract_x
_atom_site_fract_y
_atom_site_fract_z
_atom_site_occupancy
Ce1 0.0745 0.2500 0.0121 1
Ce2 0.1372 0.2500 0.4687 1
Ce3 0.1740 0.7500 0.7752 1
In1 0.0300 0.7500 0.3399 1
In2 0.1988 0.7500 0.2126 1
Ru1 0.0453 0.7500 0.7228 1
Ru2 0.2073 0.2500 0.0254 1
```

Principal peaks in the range 2θ from 15° to 90°, by intensity:
d (Å)  I/Imax  hkl
2.864  100  2 1 2
2.474  44  0 2 0
2.673  33  5 1 1
2.371  16  7 0 1
2.099  15  6 1 2
1.493  14  2 3 2
1.475  14  9 1 3
2.507  14  6 1 0

Structure and theoretical powder X-ray diffraction pattern of Ce2InRu2 (a cell relaxed with GGA-PBE; CuKα).
Lines closer than 0.1° are merged.

Structure:
```
data_Ce2InRu2
_space_group_name_H-M_alt 'C 1 2/c 1'
_space_group_IT_number 15
_space_group_name_Hall '-C 2yc'
_cell_length_a 10.6108
_cell_length_b 5.1052
_cell_length_c 8.7759
_cell_angle_alpha 90.00
_cell_angle_beta 110.43
_cell_angle_gamma 90.00
loop_
_atom_site_label
_atom_site_fract_x
_atom_site_fract_y
_atom_site_fract_z
_atom_site_occupancy
Ce1 0.1543 0.1318 0.1301 1
In1 0.0000 0.3870 0.7500 1
Ru1 0.1421 0.3417 0.5422 1
```

Principal peaks in the range 2θ from 15° to 90°, by intensity:
d (Å)  I/Imax  hkl
2.734  100  2 0 2
2.559  81  4 0 -2
2.438  75  0 2 1
2.532  55  1 1 -3
2.104  54  2 2 1
2.284  48  2 2 -1
3.909  44  2 0 -2
1.700  39  4 2 -3

Structure and theoretical powder X-ray diffraction pattern of CeZnInRu (a cell relaxed with GGA-PBE; CuKα).
Lines closer than 0.1° are merged.

Structure:
```
data_CeZnInRu
_space_group_name_H-M_alt 'F -4 3 m'
_space_group_IT_number 216
_space_group_name_Hall 'F -4 2 3'
_cell_length_a 6.8163
_cell_length_b 6.8163
_cell_length_c 6.8163
_cell_angle_alpha 90.00
_cell_angle_beta 90.00
_cell_angle_gamma 90.00
loop_
_atom_site_label
_atom_site_fract_x
_atom_site_fract_y
_atom_site_fract_z
_atom_site_occupancy
Ce1 0.0000 0.0000 0.0000 1
Zn1 0.2500 0.2500 0.2500 1
In1 0.0000 0.0000 0.5000 1
Ru1 0.2500 0.2500 0.7500 1
```

Principal peaks in the range 2θ from 15° to 90°, by intensity:
d (Å)  I/Imax  hkl
2.410  100  2 2 0
1.391  34  4 2 2
1.704  17  4 0 0
1.205  11  4 4 0
3.408  4  2 0 0
3.935  2  1 1 1
1.524  2  4 2 0
1.968  1  2 2 2

Structure and theoretical powder X-ray diffraction pattern of Ce8InSb5 (a cell relaxed with GGA-PBE; CuKα).
Lines closer than 0.1° are merged.

Structure:
```
data_Ce8InSb5
_space_group_name_H-M_alt 'I -4'
_space_group_IT_number 82
_space_group_name_Hall 'I -4'
_cell_length_a 9.4561
_cell_length_b 9.4561
_cell_length_c 9.5050
_cell_angle_alpha 90.00
_cell_angle_beta 90.00
_cell_angle_gamma 90.00
loop_
_atom_site_label
_atom_site_fract_x
_atom_site_fract_y
_atom_site_fract_z
_atom_site_occupancy
Ce1 0.0719 0.3276 0.4483 1
Ce2 0.0768 0.1778 0.8022 1
In1 0.0000 0.0000 0.5000 1
Sb1 0.0000 0.5000 0.7500 1
Sb2 0.1253 0.2475 0.1260 1
```

Principal peaks in the range 2θ from 15° to 90°, by intensity:
d (Å)  I/Imax  hkl
2.991  100  3 1 0
2.533  71  3 1 2
3.004  51  1 0 3
2.528  36  3 2 1
1.535  26  1 6 1
1.856  20  3 4 1
1.932  18  2 4 2
1.463  15  1 4 5

Structure and theoretical powder X-ray diffraction pattern of Ce3InSb (a cell relaxed with GGA-PBE; CuKα).
Lines closer than 0.1° are merged.

Structure:
```
data_Ce3InSb
_space_group_name_H-M_alt 'C 1 2/c 1'
_space_group_IT_number 15
_space_group_name_Hall '-C 2yc'
_cell_length_a 11.8408
_cell_length_b 5.8475
_cell_length_c 16.0420
_cell_angle_alpha 90.00
_cell_angle_beta 94.98
_cell_angle_gamma 90.00
loop_
_atom_site_label
_atom_site_fract_x
_atom_site_fract_y
_atom_site_fract_z
_atom_site_occupancy
Ce1 0.0142 0.1918 0.0506 1
Ce2 0.2127 0.2646 0.4005 1
Ce3 0.2262 0.1311 0.8007 1
In1 0.0284 0.3140 0.6538 1
Sb1 0.0000 0.2104 0.2500 1
Sb2 0.2500 0.2500 0.0000 1
```

Principal peaks in the range 2θ from 15° to 90°, by intensity:
d (Å)  I/Imax  hkl
2.683  100  1 1 5
2.370  59  3 1 -5
2.949  55  4 0 0
2.924  36  0 2 0
2.568  29  2 2 1
1.742  22  5 1 5
2.076  18  4 2 0
3.238  15  1 1 -4

Structure and theoretical powder X-ray diffraction pattern of Ce4InSb (a cell relaxed with GGA-PBE; CuKα).
Lines closer than 0.1° are merged.

Structure:
```
data_Ce4InSb
_space_group_name_H-M_alt 'C 1 2/c 1'
_space_group_IT_number 15
_space_group_name_Hall '-C 2yc'
_cell_length_a 17.0712
_cell_length_b 5.6033
_cell_length_c 7.6006
_cell_angle_alpha 90.00
_cell_angle_beta 101.38
_cell_angle_gamma 90.00
loop_
_atom_site_label
_atom_site_fract_x
_atom_site_fract_y
_atom_site_fract_z
_atom_site_occupancy
Ce1 0.0657 0.0977 0.4593 1
Ce2 0.1525 0.2935 0.0853 1
In1 0.2500 0.2500 0.5000 1
Sb1 0.0000 0.4113 0.7500 1
```

Principal peaks in the range 2θ from 15° to 90°, by intensity:
d (Å)  I/Imax  hkl
2.541  100  5 1 1
3.721  74  0 0 2
2.554  55  2 2 -1
2.848  54  5 1 -1
2.964  47  1 1 2
2.306  43  1 1 -3
3.103  35  4 0 -2
2.480  30  6 0 -2

Structure and theoretical powder X-ray diffraction pattern of Ce4InSb5 (a cell relaxed with GGA-PBE; CuKα).
Lines closer than 0.1° are merged.

Structure:
```
data_Ce4InSb5
_space_group_name_H-M_alt 'I m m m'
_space_group_IT_number 71
_space_group_name_Hall '-I 2 2'
_cell_length_a 4.3665
_cell_length_b 11.0768
_cell_length_c 12.4350
_cell_angle_alpha 90.00
_cell_angle_beta 90.00
_cell_angle_gamma 90.00
loop_
_atom_site_label
_atom_site_fract_x
_atom_site_fract_y
_atom_site_fract_z
_atom_site_occupancy
Ce1 0.0000 0.0000 0.2455 1
Ce2 0.0000 0.2922 0.5000 1
In1 0.0000 0.0000 0.5000 1
Sb1 0.0000 0.0000 0.0000 1
Sb2 0.0000 0.3234 0.1601 1
```

Principal peaks in the range 2θ from 15° to 90°, by intensity:
d (Å)  I/Imax  hkl
2.819  100  1 3 0
3.006  51  1 0 3
2.469  33  1 1 4
2.757  32  0 3 3
2.642  31  1 2 3
2.183  28  2 0 0
1.712  19  2 3 3
1.669  18  1 3 6

Structure and theoretical powder X-ray diffraction pattern of Ce5InSb3 (a cell relaxed with GGA-PBE; CuKα).
Lines closer than 0.1° are merged.

Structure:
```
data_Ce5InSb3
_space_group_name_H-M_alt 'P 63/m c m'
_space_group_IT_number 193
_space_group_name_Hall '-P 6c 2'
_cell_length_a 9.5135
_cell_length_b 9.5135
_cell_length_c 6.4434
_cell_angle_alpha 90.00
_cell_angle_beta 90.00
_cell_angle_gamma 120.00
loop_
_atom_site_label
_atom_site_fract_x
_atom_site_fract_y
_atom_site_fract_z
_atom_site_occupancy
Ce1 0.0000 0.2852 0.2500 1
Ce2 0.3333 0.6667 0.0000 1
In1 0.0000 0.0000 0.0000 1
Sb1 0.0000 0.3726 0.7500 1
```

Principal peaks in the range 2θ from 15° to 90°, by intensity:
d (Å)  I/Imax  hkl
2.667  100  1 1 2
2.746  96  3 0 0
2.804  37  2 1 1
1.913  31  2 2 2
1.570  24  4 1 2
1.389  23  3 0 4
2.154  11  3 1 1
1.442  11  5 1 1

Structure and theoretical powder X-ray diffraction pattern of Ce2Sc2In3 (a cell relaxed with GGA-PBE; CuKα).
Lines closer than 0.1° are merged.

Structure:
```
data_Ce2Sc2In3
_space_group_name_H-M_alt 'C m m m'
_space_group_IT_number 65
_space_group_name_Hall '-C 2 2'
_cell_length_a 4.7547
_cell_length_b 23.4237
_cell_length_c 3.1818
_cell_angle_alpha 90.00
_cell_angle_beta 90.00
_cell_angle_gamma 90.00
loop_
_atom_site_label
_atom_site_fract_x
_atom_site_fract_y
_atom_site_fract_z
_atom_site_occupancy
Ce1 0.0000 0.0763 0.0000 1
Sc1 0.0000 0.2094 0.0000 1
In1 0.0000 0.3382 0.5000 1
In2 0.0000 0.5000 0.5000 1
```

Principal peaks in the range 2θ from 15° to 90°, by intensity:
d (Å)  I/Imax  hkl
2.628  100  1 1 1
2.736  87  1 7 0
2.466  62  0 6 1
1.712  40  2 6 1
2.377  37  2 0 0
3.337  37  1 5 0
1.489  21  1 13 1
1.375  20  1 7 2

Structure and theoretical powder X-ray diffraction pattern of CeZrScIn (a cell relaxed with GGA-PBE; CuKα).
Lines closer than 0.1° are merged.

Structure:
```
data_CeZrScIn
_space_group_name_H-M_alt 'F -4 3 m'
_space_group_IT_number 216
_space_group_name_Hall 'F -4 2 3'
_cell_length_a 7.2416
_cell_length_b 7.2416
_cell_length_c 7.2416
_cell_angle_alpha 90.00
_cell_angle_beta 90.00
_cell_angle_gamma 90.00
loop_
_atom_site_label
_atom_site_fract_x
_atom_site_fract_y
_atom_site_fract_z
_atom_site_occupancy
Ce1 0.0000 0.0000 0.0000 1
Zr1 0.2500 0.2500 0.7500 1
Sc1 0.2500 0.2500 0.2500 1
In1 0.0000 0.0000 0.5000 1
```

Principal peaks in the range 2θ from 15° to 90°, by intensity:
d (Å)  I/Imax  hkl
2.560  100  2 2 0
1.478  35  4 2 2
1.810  17  4 0 0
1.145  15  6 2 0
3.621  11  2 0 0
1.280  11  4 4 0
1.619  5  4 2 0
4.181  4  1 1 1

Structure and theoretical powder X-ray diffraction pattern of Ce3In2Se6 (a cell relaxed with GGA-PBE; CuKα).
Lines closer than 0.1° are merged.

Structure:
```
data_Ce3In2Se6
_space_group_name_H-M_alt 'C 1 2/m 1'
_space_group_IT_number 12
_space_group_name_Hall '-C 2y'
_cell_length_a 7.4371
_cell_length_b 12.8750
_cell_length_c 8.0025
_cell_angle_alpha 90.00
_cell_angle_beta 107.97
_cell_angle_gamma 90.00
loop_
_atom_site_label
_atom_site_fract_x
_atom_site_fract_y
_atom_site_fract_z
_atom_site_occupancy
Ce1 0.0000 0.0000 0.0000 1
Ce2 0.0000 0.3344 0.0000 1
In1 0.0000 0.1672 0.5000 1
Se1 0.2337 0.1687 0.2079 1
Se2 0.2402 0.5000 0.2093 1
```

Principal peaks in the range 2θ from 15° to 90°, by intensity:
d (Å)  I/Imax  hkl
3.115  100  1 3 1
2.146  37  0 6 0
2.264  35  1 3 -3
1.767  19  2 6 -2
1.364  16  5 3 -3
1.424  12  3 3 -5
1.558  11  4 0 -4
1.261  10  4 6 -4